1.
The following is a simulated X-ray powder pattern of Rb3Dy2MgTe6. It was derived from DFT lattice parameters and positions (GGA-PBE), using CuKα.
Intensities are scaled so that the largest is 100.

Atomic structure:
Cell lengths 7.707, 13.353, 9.033 Å; angles 90.00, 106.56, 90.00 degrees
Space group C2/m (No. 12)
Unique sites:
Rb 0.000 0.000 0.000 (multiplicity 2)
Rb 0.000 0.331 0.000 (multiplicity 4)
Dy 0.000 0.166 0.500 (multiplicity 4)
Mg 0.000 0.500 0.500 (multiplicity 2)
Te 0.230 0.336 0.696 (multiplicity 8)
Te 0.237 0.000 0.698 (multiplicity 4)

Largest 12 diffraction maxima, low angle first, 2θ from 10° to 90°:
- d 8.659, rel. 20
- d 3.314, rel. 100
- d 2.673, rel. 13
- d 2.483, rel. 33
- d 2.225, rel. 37
- d 2.014, rel. 9
- d 1.847, rel. 19
- d 1.657, rel. 10
- d 1.552, rel. 8
- d 1.421, rel. 17
- d 1.329, rel. 9
- d 1.285, rel. 6

---

2.
The following is a simulated X-ray powder pattern of Hf3GaCo3. It was derived from DFT lattice parameters and positions (GGA-PBE), using CuKα.
Intensities are scaled so that the largest is 100.

Atomic structure:
Cell lengths 3.963, 9.153, 12.164 Å; angles 90.00, 90.00, 90.00 degrees
Space group Cmcm (No. 63)
Unique sites:
Hf 0.000 0.014 0.250 (multiplicity 4)
Hf 0.000 0.297 0.106 (multiplicity 8)
Ga 0.000 0.000 0.000 (multiplicity 4)
Co 0.000 0.260 0.750 (multiplicity 4)
Co 0.000 0.410 0.594 (multiplicity 8)

Largest 12 diffraction maxima, low angle first, 2θ from 10° to 90°:
- d 3.484, rel. 26
- d 3.121, rel. 34
- d 2.707, rel. 73
- d 2.533, rel. 62
- d 2.418, rel. 97
- d 2.333, rel. 100
- d 2.249, rel. 25
- d 2.076, rel. 76
- d 2.027, rel. 25
- d 1.981, rel. 56
- d 1.561, rel. 29
- d 1.458, rel. 29

---

3.
The following is a simulated X-ray powder pattern of Pu2Ni2Sb3. It was derived from DFT lattice parameters and positions (GGA-PBE), using CuKα.
Intensities are scaled so that the largest is 100.

Atomic structure:
Cell lengths 4.344, 21.164, 6.692 Å; angles 90.00, 90.00, 90.00 degrees
Space group Cmcm (No. 63)
Unique sites:
Pu 0.000 0.010 0.250 (multiplicity 4)
Pu 0.000 0.166 0.750 (multiplicity 4)
Ni 0.000 0.292 0.546 (multiplicity 8)
Sb 0.000 0.216 0.250 (multiplicity 4)
Sb 0.000 0.414 0.010 (multiplicity 8)

Largest 12 diffraction maxima, low angle first, 2θ from 10° to 90°:
- d 3.120, rel. 13
- d 3.031, rel. 55
- d 2.761, rel. 34
- d 2.630, rel. 100
- d 2.481, rel. 39
- d 2.427, rel. 46
- d 2.246, rel. 18
- d 2.172, rel. 36
- d 2.018, rel. 13
- d 1.619, rel. 27
- d 1.465, rel. 16
- d 1.387, rel. 16

---

4.
The following is a simulated X-ray powder pattern of Tb8P3S4O. It was derived from DFT lattice parameters and positions (GGA-PBE), using CuKα.
Intensities are scaled so that the largest is 100.

Atomic structure:
Cell lengths 7.8054, 7.8054, 19.3237 Å; angles 90.00, 90.00, 120.00 degrees
Space group R-3m (No. 166, hexagonal axes)
Unique sites:
Tb 0.0000 0.0000 0.2478 (multiplicity 6)
Tb 0.0118 0.5059 0.2446 (multiplicity 18)
P 0.0000 0.5000 0.5000 (multiplicity 9)
S 0.0000 0.0000 0.0000 (multiplicity 3)
S 0.0000 0.5000 0.0000 (multiplicity 9)
O 0.0000 0.0000 0.5000 (multiplicity 3)

Largest 12 diffraction maxima, low angle first, 2θ from 10° to 90°:
- d 3.221, rel. 22
- d 3.190, rel. 66
- d 2.769, rel. 100
- d 1.965, rel. 35
- d 1.951, rel. 36
- d 1.669, rel. 20
- d 1.665, rel. 10
- d 1.595, rel. 18
- d 1.385, rel. 11
- d 1.242, rel. 14
- d 1.235, rel. 15
- d 1.129, rel. 11

---

5.
The following is a simulated X-ray powder pattern of Pm7SmEr3. It was derived from DFT lattice parameters and positions (GGA-PBE), using CuKα.
Intensities are scaled so that the largest is 100.

Atomic structure:
Cell lengths 19.102, 7.215, 12.479 Å; angles 90.00, 115.70, 90.00 degrees
Space group C2/c (No. 15)
Unique sites:
Pm 0.000 0.236 0.250 (multiplicity 4)
Pm 0.161 0.494 0.775 (multiplicity 8)
Pm 0.168 0.248 0.530 (multiplicity 8)
Pm 0.168 0.249 0.030 (multiplicity 8)
Sm 0.000 0.000 0.000 (multiplicity 4)
Er 0.000 0.500 0.000 (multiplicity 4)
Er 0.169 0.003 0.276 (multiplicity 8)

Largest 12 diffraction maxima, low angle first, 2θ from 10° to 90°:
- d 3.099, rel. 31
- d 3.036, rel. 20
- d 2.869, rel. 52
- d 2.810, rel. 100
- d 2.672, rel. 87
- d 2.383, rel. 15
- d 1.802, rel. 39
- d 1.676, rel. 21
- d 1.527, rel. 31
- d 1.525, rel. 15
- d 1.494, rel. 15
- d 1.123, rel. 13

---

6.
The following is a simulated X-ray powder pattern of Sn4P3O12. It was derived from DFT lattice parameters and positions (GGA-PBE), using CuKα.
Intensities are scaled so that the largest is 100.

Atomic structure:
Cell lengths 9.8513, 9.8513, 7.1985 Å; angles 90.00, 90.00, 120.00 degrees
Space group P6_3 (No. 173)
Unique sites:
Sn 0.0325 0.2691 0.0000 (multiplicity 6)
Sn 0.3333 0.6667 0.6606 (multiplicity 2)
P 0.0195 0.6075 0.9567 (multiplicity 6)
O 0.0547 0.7032 0.7722 (multiplicity 6)
O 0.0906 0.7301 0.1150 (multiplicity 6)
O 0.1039 0.5099 0.9380 (multiplicity 6)
O 0.1598 0.4998 0.4833 (multiplicity 6)

Largest 12 diffraction maxima, low angle first, 2θ from 10° to 90°:
- d 5.502, rel. 29
- d 4.065, rel. 28
- d 3.670, rel. 48
- d 3.599, rel. 36
- d 3.225, rel. 22
- d 2.943, rel. 100
- d 2.906, rel. 31
- d 2.844, rel. 27
- d 1.977, rel. 16
- d 1.925, rel. 36
- d 1.889, rel. 29
- d 1.835, rel. 18

---

7.
The following is a simulated X-ray powder pattern of CeTm3S6. It was derived from DFT lattice parameters and positions (GGA-PBE), using CuKα.
Intensities are scaled so that the largest is 100.

Atomic structure:
Cell lengths 10.985, 3.941, 11.236 Å; angles 90.00, 108.79, 90.00 degrees
Space group P2_1/m (No. 11)
Unique sites:
Ce 0.049 0.250 0.195 (multiplicity 2)
Tm 0.160 0.250 0.587 (multiplicity 2)
Tm 0.320 0.750 0.999 (multiplicity 2)
Tm 0.441 0.250 0.333 (multiplicity 2)
S 0.082 0.750 0.407 (multiplicity 2)
S 0.119 0.250 0.963 (multiplicity 2)
S 0.196 0.750 0.750 (multiplicity 2)
S 0.266 0.750 0.229 (multiplicity 2)
S 0.394 0.250 0.558 (multiplicity 2)
S 0.478 0.250 0.112 (multiplicity 2)

Largest 12 diffraction maxima, low angle first, 2θ from 10° to 90°:
- d 5.409, rel. 29
- d 3.745, rel. 78
- d 3.662, rel. 100
- d 3.366, rel. 69
- d 3.234, rel. 45
- d 3.205, rel. 50
- d 2.865, rel. 70
- d 2.603, rel. 51
- d 2.123, rel. 62
- d 2.048, rel. 39
- d 1.971, rel. 44
- d 1.946, rel. 33

---

8.
The following is a simulated X-ray powder pattern of Ac3Eu. It was derived from DFT lattice parameters and positions (GGA-PBE), using CuKα.
Intensities are scaled so that the largest is 100.

Atomic structure:
Cell lengths 4.020, 12.822, 6.928 Å; angles 90.00, 90.00, 90.00 degrees
Space group Imm2 (No. 44)
Unique sites:
Ac 0.000 0.000 0.000 (multiplicity 2)
Ac 0.000 0.252 0.663 (multiplicity 4)
Eu 0.000 0.500 0.000 (multiplicity 2)

Largest 12 diffraction maxima, low angle first, 2θ from 10° to 90°:
- d 3.473, rel. 24
- d 3.205, rel. 25
- d 3.054, rel. 100
- d 2.355, rel. 17
- d 2.010, rel. 7
- d 2.003, rel. 14
- d 1.820, rel. 23
- d 1.703, rel. 8
- d 1.698, rel. 16
- d 1.678, rel. 12
- d 1.672, rel. 6
- d 1.251, rel. 6

---

9.
The following is a simulated X-ray powder pattern of Ni3Ge2. It was derived from DFT lattice parameters and positions (GGA-PBE), using CuKα.
Intensities are scaled so that the largest is 100.

Atomic structure:
Cell lengths 7.807, 3.464, 6.011 Å; angles 90.00, 129.79, 90.00 degrees
Space group C2/m (No. 12)
Unique sites:
Ni 0.000 0.000 0.000 (multiplicity 2)
Ni 0.081 0.500 0.375 (multiplicity 4)
Ge 0.198 0.000 0.771 (multiplicity 4)

Largest 12 diffraction maxima, low angle first, 2θ from 10° to 90°:
- d 2.213, rel. 100
- d 2.025, rel. 76
- d 1.977, rel. 32
- d 1.806, rel. 26
- d 1.732, rel. 25
- d 1.438, rel. 10
- d 1.303, rel. 15
- d 1.250, rel. 14
- d 1.216, rel. 11
- d 1.134, rel. 10
- d 1.122, rel. 8
- d 1.106, rel. 9

---

10.
The following is a simulated X-ray powder pattern of Ho3AlIr3. It was derived from DFT lattice parameters and positions (GGA-PBE), using CuKα.
Intensities are scaled so that the largest is 100.

Atomic structure:
Cell lengths 4.098, 10.250, 13.718 Å; angles 90.00, 90.00, 90.00 degrees
Space group Cmcm (No. 63)
Unique sites:
Ho 0.000 0.016 0.250 (multiplicity 4)
Ho 0.000 0.297 0.106 (multiplicity 8)
Al 0.000 0.000 0.000 (multiplicity 4)
Ir 0.000 0.267 0.750 (multiplicity 4)
Ir 0.000 0.415 0.588 (multiplicity 8)

Largest 12 diffraction maxima, low angle first, 2θ from 10° to 90°:
- d 3.805, rel. 19
- d 3.327, rel. 35
- d 2.925, rel. 22
- d 2.624, rel. 30
- d 2.547, rel. 44
- d 2.286, rel. 33
- d 2.276, rel. 100
- d 2.235, rel. 27
- d 2.050, rel. 42
- d 1.526, rel. 20
- d 1.510, rel. 16
- d 1.222, rel. 14

---

11.
The following is a simulated X-ray powder pattern of MnTc2Os. It was derived from DFT lattice parameters and positions (GGA-PBE), using CuKα.
Intensities are scaled so that the largest is 100.

Atomic structure:
Cell lengths 3.830, 3.830, 7.563 Å; angles 90.00, 90.00, 90.00 degrees
Space group I-4m2 (No. 119)
Unique sites:
Mn 0.000 0.000 0.000 (multiplicity 2)
Tc 0.000 0.000 0.500 (multiplicity 2)
Tc 0.000 0.500 0.250 (multiplicity 2)
Os 0.000 0.500 0.750 (multiplicity 2)

Largest 12 diffraction maxima, low angle first, 2θ from 10° to 90°:
- d 3.781, rel. 9
- d 3.417, rel. 15
- d 2.708, rel. 8
- d 2.202, rel. 100
- d 1.915, rel. 33
- d 1.891, rel. 16
- d 1.671, rel. 4
- d 1.354, rel. 10
- d 1.345, rel. 20
- d 1.153, rel. 25
- d 1.143, rel. 12
- d 1.101, rel. 11

---

12.
The following is a simulated X-ray powder pattern of Ti3In2Br9. It was derived from DFT lattice parameters and positions (GGA-PBE), using CuKα.
Intensities are scaled so that the largest is 100.

Atomic structure:
Cell lengths 11.079, 17.276, 10.061 Å; angles 90.00, 114.96, 90.00 degrees
Space group C2/m (No. 12)
Unique sites:
Ti 0.134 0.000 0.369 (multiplicity 4)
Ti 0.140 0.089 0.645 (multiplicity 8)
In 0.102 0.337 0.829 (multiplicity 8)
Br 0.000 0.204 0.500 (multiplicity 4)
Br 0.017 0.101 0.810 (multiplicity 8)
Br 0.187 0.500 0.169 (multiplicity 4)
Br 0.198 0.297 0.170 (multiplicity 8)
Br 0.208 0.393 0.486 (multiplicity 8)
Br 0.229 0.500 0.794 (multiplicity 4)

Largest 12 diffraction maxima, low angle first, 2θ from 10° to 90°:
- d 3.784, rel. 30
- d 3.287, rel. 42
- d 3.270, rel. 35
- d 3.094, rel. 83
- d 3.040, rel. 100
- d 2.986, rel. 28
- d 2.913, rel. 48
- d 2.843, rel. 91
- d 2.499, rel. 60
- d 2.217, rel. 43
- d 1.865, rel. 35
- d 1.821, rel. 43